Diffraction record for ZnCu2B2O6. The PXRD pattern is simulated, not measured: it uses a DFT-relaxed cell (PBE, Alexandria) and Cu Kα (λ = 1.5418 Å).
Peak positions follow from Bragg's law for the DFT cell and can differ from measured ones.

Structural model:
```
data_ZnCu2B2O6
_chemical_formula_sum 'Zn4 Cu8 B8 O24'
_cell_length_a 3.4414
_cell_length_b 14.9894
_cell_length_c 9.5021
_cell_angle_alpha 90.00
_cell_angle_beta 99.21
_cell_angle_gamma 90.00
_space_group_name_H-M_alt 'P 1'
_space_group_IT_number 1
_space_group_name_Hall 'P 1'
loop_
_atom_site_label
_atom_site_type_symbol
_atom_site_fract_x
_atom_site_fract_y
_atom_site_fract_z
_atom_site_occupancy
Zn1 Zn 0.2336 0.1389 0.1420 1
Zn2 Zn 0.2336 0.3611 0.6420 1
Zn3 Zn 0.7664 0.6389 0.3580 1
Zn4 Zn 0.7664 0.8611 0.8580 1
Cu1 Cu 0.1403 0.7385 0.6291 1
Cu2 Cu 0.1403 0.7615 0.1291 1
Cu3 Cu 0.2049 0.5436 0.1345 1
Cu4 Cu 0.2049 0.9564 0.6345 1
Cu5 Cu 0.7951 0.0436 0.3655 1
Cu6 Cu 0.7951 0.4564 0.8655 1
Cu7 Cu 0.8597 0.2385 0.8709 1
Cu8 Cu 0.8597 0.2615 0.3709 1
B1 B 0.3066 0.1519 0.5971 1
B2 B 0.3066 0.3481 0.0971 1
B3 B 0.3160 0.5779 0.6700 1
B4 B 0.3160 0.9221 0.1700 1
B5 B 0.6840 0.0779 0.8300 1
B6 B 0.6840 0.4221 0.3300 1
B7 B 0.6934 0.6519 0.9029 1
B8 B 0.6934 0.8481 0.4029 1
O1 O 0.0942 0.6144 0.5527 1
O2 O 0.0942 0.8856 0.0527 1
O3 O 0.1764 0.0732 0.5359 1
O4 O 0.1764 0.4268 0.0359 1
O5 O 0.2110 0.6554 0.2386 1
O6 O 0.2110 0.8446 0.7386 1
O7 O 0.2361 0.2340 0.5379 1
O8 O 0.2361 0.2660 0.0379 1
O9 O 0.3876 0.0080 0.2066 1
O10 O 0.3876 0.4920 0.7066 1
O11 O 0.4653 0.6499 0.7650 1
O12 O 0.4653 0.8501 0.2650 1
O13 O 0.5347 0.1499 0.7350 1
O14 O 0.5347 0.3501 0.2350 1
O15 O 0.6124 0.5080 0.2934 1
O16 O 0.6124 0.9920 0.7934 1
O17 O 0.7639 0.7340 0.9621 1
O18 O 0.7639 0.7660 0.4621 1
O19 O 0.7890 0.1554 0.2614 1
O20 O 0.7890 0.3446 0.7614 1
O21 O 0.8236 0.5732 0.9641 1
O22 O 0.8236 0.9268 0.4641 1
O23 O 0.9058 0.1144 0.9473 1
O24 O 0.9058 0.3856 0.4473 1
```

Peak list (12 most intense, 2θ = 10–80°, in order of rising 2θ)
15.13 deg, I 38, hkl 0 2 1; 20.14 deg, I 38, hkl 0 3 1; 29.91 deg, I 100, hkl 1 0 -2; 30.51 deg, I 18, hkl 1 1 -2; 32.02 deg, I 22, hkl 1 3 -1; 35.01 deg, I 35, hkl 1 0 2; 35.54 deg, I 64, hkl 0 5 2; 38.39 deg, I 15, hkl 0 0 4; 40.12 deg, I 25, hkl 1 5 0; 44.08 deg, I 14, hkl 1 2 3; 53.39 deg, I 19, hkl 1 5 -4; 59.95 deg, I 18, hkl 1 5 4